The following is a simulated XRD peak list of AlV2O5. It was derived from a crystal structure in Alexandria, relaxed with GGA+U, using λ = 1.5418 Å (Cu Kα).

Top 8 peaks for 2θ from 10° to 90°, by angle:
d = 4.957 Å, 2θ 17.89, intensity 16; d = 4.483 Å, 2θ 19.81, intensity 47; d = 4.180 Å, 2θ 21.26, intensity 100; d = 3.725 Å, 2θ 23.89, intensity 48; d = 3.031 Å, 2θ 29.47, intensity 17; d = 2.467 Å, 2θ 36.41, intensity 17; d = 1.862 Å, 2θ 48.91, intensity 23; d = 1.812 Å, 2θ 50.36, intensity 28

Atomic structure:
Lattice parameters (Å, degrees): 5.242 5.242 5.361 109.16 109.16 60.87
Sites, in units of the cell vectors:
Al: 0.000 0.000 0.000
V: 0.383 0.383 0.958
V: 0.977 0.977 0.508
O: 0.152 0.668 0.733
O: 0.174 0.174 0.897
O: 0.227 0.747 0.234
O: 0.668 0.152 0.733
O: 0.747 0.227 0.234